[1]
Diffraction record for DyBe2Pt6. The X-ray diffraction stick pattern is computed, not measured: it uses a crystal structure in Alexandria, relaxed with GGA-PBE and copper Kα.
Lines closer than 0.1° are merged.

Atomic structure:
a b c (Å): 7.656 7.656 7.656
angles (deg): 60.00 60.00 60.00
Fractional positions:
Dy1 0.125 0.125 0.125
Dy2 0.875 0.875 0.875
Be1 0.000 0.500 0.500
Be2 0.500 0.000 0.500
Be3 0.500 0.500 0.000
Be4 0.500 0.500 0.500
Pt1 0.135 0.135 0.615
Pt2 0.135 0.615 0.135
Pt3 0.135 0.615 0.615
Pt4 0.385 0.385 0.865
Pt5 0.385 0.865 0.385
Pt6 0.385 0.865 0.865
Pt7 0.615 0.135 0.135
Pt8 0.615 0.135 0.615
Pt9 0.615 0.615 0.135
Pt10 0.865 0.385 0.385
Pt11 0.865 0.385 0.865
Pt12 0.865 0.865 0.385

Most intense lines, 2θ from 15° to 90°, sorted by position:
2θ 23.24, d = 3.828 Å, I 13.7; 2θ 27.32, d = 3.265 Å, I 7.5; 2θ 33.09, d = 2.707 Å, I 100.0; 2θ 36.16, d = 2.484 Å, I 7.1; 2θ 40.83, d = 2.210 Å, I 7.2; 2θ 47.50, d = 1.914 Å, I 75.3; 2θ 59.12, d = 1.563 Å, I 25.0; 2θ 69.45, d = 1.353 Å, I 11.8; 2θ 79.11, d = 1.211 Å, I 31.4; 2θ 88.48, d = 1.105 Å, I 25.1

=====

[2]
Diffraction record for Al12Ga17. The X-ray diffraction stick pattern is computed, not measured: it uses a crystal structure in Alexandria, relaxed with GGA-PBE and copper Kα.
Lines closer than 0.1° are merged.

Atomic structure:
a b c (Å): 8.796 8.796 8.796
angles (deg): 109.47 109.47 109.47
Fractional positions:
Al1 0.000 0.613 0.806
Al2 0.000 0.806 0.613
Al3 0.193 0.387 0.387
Al4 0.194 0.194 0.807
Al5 0.194 0.807 0.194
Al6 0.387 0.193 0.387
Al7 0.387 0.387 0.193
Al8 0.613 0.000 0.806
Al9 0.613 0.806 0.000
Al10 0.806 0.000 0.613
Al11 0.806 0.613 0.000
Al12 0.807 0.194 0.194
Ga1 0.000 0.000 0.000
Ga2 0.000 0.000 0.323
Ga3 0.000 0.307 0.586
Ga4 0.000 0.323 0.000
Ga5 0.000 0.586 0.307
Ga6 0.279 0.693 0.693
Ga7 0.307 0.000 0.586
Ga8 0.307 0.586 0.000
Ga9 0.323 0.000 0.000
Ga10 0.414 0.414 0.721
Ga11 0.414 0.721 0.414
Ga12 0.586 0.000 0.307
Ga13 0.586 0.307 0.000
Ga14 0.677 0.677 0.677
Ga15 0.693 0.279 0.693
Ga16 0.693 0.693 0.279
Ga17 0.721 0.414 0.414

Most intense lines, 2θ from 15° to 90°, sorted by position:
2θ 21.43, d = 4.146 Å, I 15.7; 2θ 33.00, d = 2.714 Å, I 10.0; 2θ 35.35, d = 2.539 Å, I 18.0; 2θ 37.57, d = 2.394 Å, I 100.0; 2θ 41.71, d = 2.165 Å, I 14.4; 2θ 43.66, d = 2.073 Å, I 12.6; 2θ 45.54, d = 1.992 Å, I 13.6; 2θ 67.80, d = 1.382 Å, I 19.1; 2θ 70.63, d = 1.334 Å, I 10.8; 2θ 81.53, d = 1.181 Å, I 10.4

=====

[3]
Diffraction record for NaSrAg2. The X-ray diffraction stick pattern is computed, not measured: it uses a crystal structure in Alexandria, relaxed with GGA-PBE and copper Kα.
Lines closer than 0.1° are merged.

Atomic structure:
a b c (Å): 8.141 4.951 10.970
angles (deg): 90.00 90.00 90.00
Fractional positions:
Na1 0.038 0.250 0.097
Na2 0.462 0.750 0.597
Na3 0.538 0.250 0.403
Na4 0.962 0.750 0.903
Sr1 0.182 0.750 0.327
Sr2 0.318 0.250 0.827
Sr3 0.682 0.750 0.173
Sr4 0.818 0.250 0.673
Ag1 0.094 0.750 0.640
Ag2 0.196 0.250 0.535
Ag3 0.304 0.750 0.035
Ag4 0.406 0.250 0.140
Ag5 0.594 0.750 0.860
Ag6 0.696 0.250 0.965
Ag7 0.804 0.750 0.465
Ag8 0.906 0.250 0.360

Most intense lines, 2θ from 15° to 90°, sorted by position:
2θ 29.55, d = 3.022 Å, I 35.1; 2θ 32.36, d = 2.766 Å, I 100.0; 2θ 32.85, d = 2.726 Å, I 39.1; 2θ 34.03, d = 2.634 Å, I 23.8; 2θ 34.51, d = 2.599 Å, I 16.2; 2θ 36.29, d = 2.475 Å, I 43.0; 2θ 38.72, d = 2.325 Å, I 20.9; 2θ 43.80, d = 2.067 Å, I 21.9; 2θ 62.18, d = 1.493 Å, I 16.7; 2θ 62.39, d = 1.488 Å, I 16.5

=====

[4]
Diffraction record for CaLa3Au7. The X-ray diffraction stick pattern is computed, not measured: it uses a crystal structure in Alexandria, relaxed with GGA-PBE and copper Kα.
Lines closer than 0.1° are merged.

Atomic structure:
a b c (Å): 11.135 11.135 12.621
angles (deg): 90.00 90.00 158.68
Fractional positions:
Ca1 0.013 0.987 0.750
Ca2 0.987 0.013 0.250
La1 0.135 0.865 0.054
La2 0.135 0.865 0.446
La3 0.214 0.786 0.750
La4 0.786 0.214 0.250
La5 0.865 0.135 0.554
La6 0.865 0.135 0.946
Au1 0.277 0.723 0.064
Au2 0.277 0.723 0.436
Au3 0.369 0.631 0.750
Au4 0.400 0.600 0.136
Au5 0.400 0.600 0.364
Au6 0.468 0.532 0.592
Au7 0.468 0.532 0.908
Au8 0.532 0.468 0.092
Au9 0.532 0.468 0.408
Au10 0.600 0.400 0.636
Au11 0.600 0.400 0.864
Au12 0.631 0.369 0.250
Au13 0.723 0.277 0.564
Au14 0.723 0.277 0.936

Most intense lines, 2θ from 15° to 90°, sorted by position:
2θ 21.95, d = 4.048 Å, I 61.9; 2θ 30.65, d = 2.917 Å, I 100.0; 2θ 33.06, d = 2.709 Å, I 54.5; 2θ 33.52, d = 2.674 Å, I 38.2; 2θ 36.08, d = 2.489 Å, I 32.3; 2θ 36.79, d = 2.443 Å, I 32.6; 2θ 38.87, d = 2.317 Å, I 32.4; 2θ 39.29, d = 2.293 Å, I 36.4; 2θ 42.16, d = 2.143 Å, I 44.2; 2θ 43.96, d = 2.060 Å, I 41.5

=====

[5]
Diffraction record for RbTiPdS2. The X-ray diffraction stick pattern is computed, not measured: it uses a crystal structure in Alexandria, relaxed with GGA-PBE and copper Kα.
Lines closer than 0.1° are merged.

Atomic structure:
a b c (Å): 7.730 7.730 5.458
angles (deg): 90.00 90.00 134.40
Fractional positions:
Rb1 0.250 0.750 0.788
Rb2 0.750 0.250 0.212
Ti1 0.250 0.250 0.500
Ti2 0.750 0.750 0.500
Pd1 0.000 0.000 0.000
Pd2 0.500 0.500 0.000
S1 0.110 0.890 0.315
S2 0.390 0.610 0.315
S3 0.610 0.390 0.685
S4 0.890 0.110 0.685

Most intense lines, 2θ from 15° to 90°, sorted by position:
2θ 24.99, d = 3.563 Å, I 61.0; 2θ 29.04, d = 3.075 Å, I 100.0; 2θ 29.83, d = 2.995 Å, I 55.6; 2θ 34.14, d = 2.626 Å, I 37.8; 2θ 35.22, d = 2.548 Å, I 77.2; 2θ 36.47, d = 2.464 Å, I 47.3; 2θ 42.78, d = 2.114 Å, I 70.1; 2θ 50.97, d = 1.792 Å, I 33.8; 2θ 51.90, d = 1.762 Å, I 30.0; 2θ 60.99, d = 1.519 Å, I 29.6

=====

[6]
Diffraction record for CaSi2S4. The X-ray diffraction stick pattern is computed, not measured: it uses a crystal structure in Alexandria, relaxed with GGA-PBE and copper Kα.
Lines closer than 0.1° are merged.

Atomic structure:
a b c (Å): 6.027 6.027 6.027
angles (deg): 104.42 104.42 120.14
Fractional positions:
Ca1 0.000 0.000 0.000
Si1 0.250 0.750 0.500
Si2 0.750 0.250 0.500
S1 0.171 0.659 0.830
S2 0.341 0.171 0.512
S3 0.659 0.829 0.488
S4 0.829 0.341 0.170

Most intense lines, 2θ from 15° to 90°, sorted by position:
2θ 16.98, d = 5.223 Å, I 26.2; 2θ 19.03, d = 4.664 Å, I 20.3; 2θ 29.71, d = 3.007 Å, I 15.7; 2θ 30.88, d = 2.895 Å, I 100.0; 2θ 34.37, d = 2.610 Å, I 37.4; 2θ 38.59, d = 2.333 Å, I 18.5; 2θ 49.41, d = 1.845 Å, I 53.8; 2θ 53.36, d = 1.717 Å, I 14.8; 2θ 53.47, d = 1.714 Å, I 17.7; 2θ 70.45, d = 1.337 Å, I 13.1

=====

[7]
Diffraction record for BaCaCu2As2. The X-ray diffraction stick pattern is computed, not measured: it uses a crystal structure in Alexandria, relaxed with GGA-PBE and copper Kα.
Lines closer than 0.1° are merged.

Atomic structure:
a b c (Å): 4.280 4.280 8.630
angles (deg): 90.00 90.00 120.00
Fractional positions:
Ba1 0.000 0.000 0.000
Ca1 0.000 0.000 0.500
Cu1 0.333 0.667 0.721
Cu2 0.667 0.333 0.279
As1 0.333 0.667 0.273
As2 0.667 0.333 0.727

Most intense lines, 2θ from 15° to 90°, sorted by position:
2θ 26.16, d = 3.406 Å, I 21.7; 2θ 31.09, d = 2.877 Å, I 9.4; 2θ 31.83, d = 2.812 Å, I 100.0; 2θ 41.87, d = 2.157 Å, I 12.9; 2θ 42.23, d = 2.140 Å, I 50.4; 2θ 53.35, d = 1.717 Å, I 12.1; 2θ 53.83, d = 1.703 Å, I 21.5; 2θ 60.98, d = 1.519 Å, I 24.6; 2θ 70.69, d = 1.333 Å, I 18.6; 2θ 77.20, d = 1.236 Å, I 8.0

=====

[8]
Diffraction record for Ac3Sm. The X-ray diffraction stick pattern is computed, not measured: it uses a crystal structure in Alexandria, relaxed with GGA-PBE and copper Kα.
Lines closer than 0.1° are merged.

Atomic structure:
a b c (Å): 5.515 5.515 5.515
angles (deg): 90.00 90.00 90.00
Fractional positions:
Ac1 0.000 0.000 0.500
Ac2 0.000 0.500 0.000
Ac3 0.500 0.000 0.000
Sm1 0.500 0.500 0.500

Most intense lines, 2θ from 15° to 90°, sorted by position:
2θ 16.07, d = 5.515 Å, I 1.9; 2θ 28.02, d = 3.184 Å, I 100.0; 2θ 32.47, d = 2.757 Å, I 51.5; 2θ 46.58, d = 1.950 Å, I 38.5; 2θ 55.25, d = 1.663 Å, I 47.0; 2θ 57.93, d = 1.592 Å, I 13.6; 2θ 68.00, d = 1.379 Å, I 6.4; 2θ 75.09, d = 1.265 Å, I 19.3; 2θ 77.39, d = 1.233 Å, I 17.8; 2θ 86.45, d = 1.126 Å, I 13.8

=====

- Number 8 is which compound?
  Ac3Sm